Entry 1:
# LiFe2B2O6
Computed XRD peak list, Cu Kα X-rays. Input: a DFT-relaxed cell (GGA+U, the Materials Project).
Lines closer than 0.1° are merged.

The 12 most intense peaks (10 to 80 degrees two-theta), sorted by position:
d [Å]  I (rel.)  (hkl)
4.560  41  1 1 -1
4.521  72  0 2 0
4.125  57  0 2 1
4.104  88  1 1 -2
3.439  69  1 1 1
3.326  50  1 1 -3
2.641  31  2 0 -2
2.618  71  1 3 -1
2.519  100  0 0 4
2.240  47  2 2 -1
2.206  29  0 4 1
1.821  27  1 1 -6

Cell and atoms:
Unit cell a=5.2853 b=9.0416 c=11.2036 alpha=90.00 beta=115.91 gamma=90.00
Atoms (fractional coordinates):
Li 0.0000 0.2391 0.0000
Li 0.0000 0.7609 0.5000
Li 0.4378 0.2564 0.7427
Li 0.4378 0.7436 0.2427
Fe 0.0241 0.0993 0.5154
Fe 0.0241 0.9007 0.0154
Fe 0.4529 0.0875 0.2778
Fe 0.4529 0.9125 0.7778
Fe 0.5295 0.4212 0.0244
Fe 0.5295 0.5788 0.5244
Fe 0.9620 0.4175 0.7699
Fe 0.9620 0.5825 0.2699
B 0.0489 0.4261 0.5297
B 0.0489 0.5739 0.0297
B 0.4578 0.4157 0.2740
B 0.4578 0.5843 0.7740
B 0.5214 0.0872 0.0193
B 0.5214 0.9128 0.5193
B 0.9483 0.0794 0.7749
B 0.9483 0.9206 0.2749
O 0.1288 0.4434 0.9866
O 0.1288 0.5566 0.4866
O 0.1720 0.0737 0.7391
O 0.1720 0.9263 0.2391
O 0.1943 0.2974 0.5486
O 0.1943 0.7026 0.0486
O 0.3123 0.0809 0.0649
O 0.3123 0.9191 0.5649
O 0.3339 0.2841 0.2748
O 0.3339 0.7159 0.7748
O 0.3872 0.4539 0.8222
O 0.3872 0.5461 0.3222
O 0.6092 0.0392 0.4771
O 0.6092 0.9608 0.9771
O 0.6389 0.2218 0.0107
O 0.6389 0.7782 0.5107
O 0.6467 0.4303 0.2197
O 0.6467 0.5697 0.7197
O 0.8241 0.4357 0.5614
O 0.8241 0.5643 0.0614
O 0.8396 0.0509 0.3005
O 0.8396 0.9491 0.8005
O 0.8427 0.2136 0.7904
O 0.8427 0.7864 0.2904

---

Entry 2:
# LiFe2B2O6
Computed XRD peak list, Cu Kα X-rays. Input: a DFT-relaxed cell (GGA+U, the Materials Project).
Lines closer than 0.1° are merged.

The 12 most intense peaks (10 to 80 degrees two-theta), sorted by position:
d [Å]  I (rel.)  (hkl)
4.566  30  1 1 0
4.523  50  1 -1 0
4.128  100  1 1 -1
3.430  48  1 1 2
3.352  34  0 2 -2
2.645  21  1 3 0
2.624  24  1 -3 0
2.615  24  2 0 0
2.531  68  0 0 4
2.243  15  0 4 1
2.234  18  2 2 1
1.835  19  1 1 -5

Cell and atoms:
Unit cell a=5.2305 b=9.1506 c=10.1292 alpha=88.57 beta=89.38 gamma=89.47
Atoms (fractional coordinates):
Li 0.0000 0.0000 0.0000
Li 0.1464 0.1638 0.2694
Li 0.4741 0.4983 0.5072
Li 0.6545 0.6485 0.7690
Fe 0.0012 0.3375 0.9891
Fe 0.1486 0.5023 0.2362
Fe 0.1502 0.8349 0.7334
Fe 0.4864 0.1593 0.4944
Fe 0.5019 0.8164 0.9962
Fe 0.6520 0.9829 0.2432
Fe 0.6533 0.3149 0.7415
Fe 0.9680 0.6804 0.4844
B 0.1494 0.4986 0.7367
B 0.1569 0.8305 0.2360
B 0.4722 0.8264 0.4918
B 0.4920 0.1557 0.9930
B 0.6511 0.3236 0.2424
B 0.6525 0.9905 0.7427
B 0.9878 0.6656 0.9858
B 0.9905 0.3361 0.4851
O 0.0164 0.9587 0.2239
O 0.0294 0.6336 0.7093
O 0.0430 0.7017 0.2784
O 0.1008 0.4712 0.4460
O 0.1177 0.5458 0.0424
O 0.1226 0.2098 0.4666
O 0.1233 0.7935 0.9504
O 0.2205 0.8399 0.5386
O 0.2325 0.1629 0.0076
O 0.4106 0.4810 0.7201
O 0.4146 0.8298 0.2036
O 0.4941 0.4419 0.2468
O 0.5075 0.8652 0.7731
O 0.5324 0.1194 0.7019
O 0.5509 0.1852 0.2758
O 0.5910 0.9500 0.4378
O 0.5951 0.6941 0.5007
O 0.6306 0.0305 0.0380
O 0.6335 0.2691 0.9350
O 0.7339 0.6559 0.9595
O 0.7383 0.3372 0.5375
O 0.9102 0.9841 0.7571
O 0.9126 0.3332 0.2107
O 0.9966 0.3851 0.7808

---

Entry 3:
# LiFe2B2O6
Computed XRD peak list, Cu Kα X-rays. Input: a DFT-relaxed cell (GGA+U, the Materials Project).
Lines closer than 0.1° are merged.

The 12 most intense peaks (10 to 80 degrees two-theta), sorted by position:
d [Å]  I (rel.)  (hkl)
4.578  46  1 1 1
4.516  79  1 -1 0
4.153  50  0 2 2
4.139  74  1 1 2
4.109  31  1 -1 1
3.423  35  1 1 -1
3.407  37  0 2 -1
3.359  25  1 1 3
2.655  29  1 3 2
2.619  75  -1 3 1
2.523  100  0 0 4
2.239  44  2 2 1

Cell and atoms:
Unit cell a=5.2406 b=9.1557 c=11.3248 alpha=66.51 beta=77.07 gamma=89.07
Atoms (fractional coordinates):
Li 0.0000 0.0000 0.0000
Li 0.1915 0.2360 0.2515
Li 0.4502 0.4662 0.7524
Li 0.7192 0.7541 0.5009
Fe 0.2215 0.5776 0.2283
Fe 0.2503 0.9411 0.4737
Fe 0.4660 0.1458 0.7218
Fe 0.5177 0.8415 0.9761
Fe 0.7070 0.0647 0.2235
Fe 0.7310 0.4362 0.4741
Fe 0.9589 0.6581 0.7305
Fe 0.9895 0.3562 0.9778
B 0.0200 0.6905 0.9799
B 0.2180 0.9044 0.2195
B 0.2402 0.6176 0.4746
B 0.4611 0.8104 0.7213
B 0.4921 0.1866 0.9715
B 0.7183 0.4018 0.2222
B 0.7519 0.1012 0.4726
B 0.9526 0.3211 0.7267
O 0.0224 0.1040 0.4525
O 0.0479 0.4394 0.7701
O 0.0792 0.7251 0.5176
O 0.0940 0.1986 0.7308
O 0.1225 0.5334 0.4217
O 0.2275 0.8315 0.6755
O 0.2369 0.6539 0.0336
O 0.3211 0.0008 0.2732
O 0.3520 0.3197 0.9652
O 0.3697 0.7905 0.1930
O 0.3966 0.0711 0.9418
O 0.4551 0.4072 0.2260
O 0.4901 0.6059 0.4903
O 0.5419 0.9086 0.7694
O 0.6068 0.6852 0.7082
O 0.6110 0.2024 0.5166
O 0.6318 0.9899 0.4377
O 0.7145 0.3495 0.6902
O 0.7351 0.1757 0.0089
O 0.8515 0.4900 0.2667
O 0.8678 0.2962 0.1744
O 0.8908 0.8204 0.9720
O 0.9381 0.5870 0.9254
O 0.9770 0.9270 0.1949

---

Entry 4:
# LiFe2B2O6
Computed XRD peak list, Cu Kα X-rays. Input: a DFT-relaxed cell (GGA+U, the Materials Project).
Lines closer than 0.1° are merged.

The 12 most intense peaks (10 to 80 degrees two-theta), sorted by position:
d [Å]  I (rel.)  (hkl)
4.539  97  1 -1 0
4.161  46  1 1 -1
4.142  87  0 2 -1
3.434  33  1 1 2
3.402  39  0 2 2
3.370  51  0 2 -2
2.652  30  1 3 0
2.640  41  2 0 0
2.613  32  1 -3 0
2.528  100  0 0 4
1.840  36  0 2 -5
1.814  26  2 0 -4

Cell and atoms:
Unit cell a=5.2815 b=9.1102 c=10.1129 alpha=89.38 beta=89.17 gamma=89.02
Atoms (fractional coordinates):
Li 0.0000 0.0000 0.0000
Li 0.1392 0.1679 0.2598
Li 0.4987 0.4946 0.0076
Li 0.6486 0.6572 0.7352
Fe 0.0036 0.3301 0.9695
Fe 0.1430 0.4973 0.2299
Fe 0.1432 0.8367 0.7278
Fe 0.4855 0.1657 0.4863
Fe 0.4954 0.8287 0.9794
Fe 0.6314 0.3297 0.7277
Fe 0.6406 0.9903 0.2278
Fe 0.9867 0.6713 0.4775
B 0.1465 0.5058 0.7299
B 0.1485 0.8378 0.2308
B 0.4806 0.8321 0.4842
B 0.4921 0.1635 0.9835
B 0.6409 0.9918 0.7233
B 0.6511 0.3230 0.2218
B 0.9793 0.3318 0.4750
B 0.9851 0.6641 0.9699
O 0.0001 0.3893 0.7660
O 0.0040 0.9650 0.2124
O 0.0129 0.6385 0.6884
O 0.0454 0.7129 0.2856
O 0.0677 0.4705 0.4420
O 0.1116 0.7953 0.9333
O 0.1243 0.5448 0.0159
O 0.1367 0.2111 0.4588
O 0.2265 0.8289 0.5266
O 0.2340 0.1548 0.9878
O 0.4008 0.8387 0.1887
O 0.4040 0.5080 0.7352
O 0.4998 0.8694 0.7646
O 0.5012 0.4416 0.1986
O 0.5124 0.1156 0.6777
O 0.5377 0.1911 0.2738
O 0.5661 0.9625 0.4254
O 0.6166 0.2881 0.9407
O 0.6373 0.0386 0.0263
O 0.6386 0.7158 0.5045
O 0.7261 0.6576 0.9553
O 0.7285 0.3166 0.5151
O 0.8982 0.9865 0.7313
O 0.9085 0.3183 0.1936